Record 1
Simulated PXRD pattern of Sr2AlCu2MoO7 for Cu Kα X-rays, from DFT lattice parameters and positions (GGA+U).

Structure:
```
Sr2AlCu2MoO7
1.0
3.809 -11.879 0.000
3.809 11.879 0.000
-3.799 0.000 3.888
Sr Al Cu Mo O
4 2 4 2 14
direct
0.109 0.891 0.000
0.349 0.570 0.962
0.570 0.349 0.962
0.891 0.109 0.000
0.233 0.733 0.977
0.733 0.233 0.977
0.175 0.785 0.482
0.286 0.677 0.484
0.677 0.286 0.484
0.785 0.175 0.482
0.561 0.561 0.543
0.891 0.891 0.386
0.007 0.616 0.641
0.084 0.927 0.536
0.098 0.497 0.978
0.357 0.963 0.338
0.382 0.542 0.447
0.456 0.849 0.981
0.497 0.098 0.978
0.537 0.537 0.062
0.542 0.382 0.447
0.616 0.007 0.641
0.849 0.456 0.981
0.906 0.906 0.022
0.927 0.084 0.536
0.963 0.357 0.338
```

Principal peaks in the range 10° ≤ 2θ ≤ 90°, low angle first:
2θ 27.42, intensity 42.9
2θ 27.83, intensity 42.1
2θ 32.27, intensity 30.3
2θ 32.62, intensity 28.4
2θ 32.93, intensity 100.0
2θ 37.87, intensity 38.0
2θ 38.13, intensity 19.0
2θ 38.43, intensity 21.7
2θ 46.73, intensity 21.2
2θ 51.04, intensity 29.6


Record 2
Simulated PXRD pattern of Na3Ni5O8 for Cu Kα X-rays, from DFT lattice parameters and positions (GGA+U).

Structure:
```
Na3Ni5O8
1.0
5.113 -3.005 0.000
5.113 3.005 0.000
-1.940 0.000 10.067
Na Ni O
6 10 16
direct
0.121 0.627 0.748
0.127 0.127 0.751
0.373 0.879 0.252
0.627 0.121 0.748
0.873 0.873 0.249
0.879 0.373 0.252
0.000 0.000 0.000
0.000 0.500 0.000
0.251 0.251 0.504
0.251 0.749 0.500
0.376 0.376 0.250
0.500 0.000 0.000
0.500 0.500 0.000
0.624 0.624 0.750
0.749 0.251 0.500
0.749 0.749 0.496
0.064 0.064 0.402
0.092 0.563 0.392
0.185 0.663 0.106
0.196 0.196 0.107
0.327 0.327 0.898
0.337 0.815 0.894
0.437 0.908 0.608
0.447 0.447 0.610
0.553 0.553 0.390
0.563 0.092 0.392
0.663 0.185 0.106
0.673 0.673 0.102
0.804 0.804 0.893
0.815 0.337 0.894
0.908 0.437 0.608
0.936 0.936 0.598
```

Principal peaks in the range 10° ≤ 2θ ≤ 90°, low angle first:
2θ 17.62, intensity 44.3
2θ 35.68, intensity 27.0
2θ 36.83, intensity 61.2
2θ 42.07, intensity 100.0
2θ 43.21, intensity 44.5
2θ 60.27, intensity 14.1
2θ 61.08, intensity 26.1
2θ 61.74, intensity 13.9
2θ 62.68, intensity 25.8
2θ 78.32, intensity 12.9


- What is the formula in the second record?
  Na3Ni5O8